For Pm3Ho2In7, a crystal structure in Alexandria, relaxed with GGA-PBE gives the theoretical X-ray diffraction stick pattern in this record (Cu Kα, 1.54184 Å).

Principal peaks in the range 2θ from 10° to 80°, low angle first:
2θ = 26.12°, rel. 7; 2θ = 29.70°, rel. 17; 2θ = 33.36°, rel. 32; 2θ = 34.44°, rel. 100; 2θ = 34.69°, rel. 29; 2θ = 48.89°, rel. 21; 2θ = 60.32°, rel. 19; 2θ = 62.03°, rel. 18; 2θ = 72.62°, rel. 7; 2θ = 75.31°, rel. 6

Unit cell a=13.001 b=13.001 c=5.372 alpha=90.00 beta=90.00 gamma=157.06
Fractional coordinates of all 12 atoms:
Pm1 0.000 0.000 0.000
Pm2 0.158 0.842 0.000
Pm3 0.842 0.158 0.000
Ho1 0.354 0.646 0.500
Ho2 0.646 0.354 0.500
In1 0.075 0.925 0.500
In2 0.227 0.773 0.500
In3 0.420 0.580 0.000
In4 0.500 0.500 0.500
In5 0.580 0.420 0.000
In6 0.773 0.227 0.500
In7 0.925 0.075 0.500